Computed powder diffraction line list
Compound: HfPdW
Radiation: Cu Kα (λ = 1.5418 Å)
Structure: DFT lattice parameters and positions (GGA-PBE)

Structural model:
```
6
Lattice="1.9374 -2.0902 0.0000 1.9374 2.0902 0.0000 0.0000 0.0000 12.7787" Properties=species:S:1:pos:R:3 pbc="T T T"
Hf 0.0000 0.0000 2.2913
Hf 0.0000 0.0000 10.4874
Pd 1.9374 0.0000 4.4261
Pd 1.9374 0.0000 8.3527
W 0.0000 0.0000 6.3894
W 1.9374 0.0000 0.0000
```

The 10 most intense peaks (2θ = 15–90°), low angle first:
d [Å], Position (°2θ), I (rel.)
2.364, 38.07, 100
2.130, 42.44, 17
2.090, 43.29, 18
1.937, 46.90, 14
1.492, 62.23, 11
1.421, 65.72, 11
1.270, 74.74, 10
1.253, 75.93, 13
1.185, 81.14, 11
1.182, 81.42, 10